K3NaMoC4N4O2: simulated PXRD pattern (a wavelength of 1.5418 Å), based on a structure optimized by DFT (PBE+U).
No peak broadening, texture or thermal motion is included.

```
data_K3NaMoC4N4O2
_chemical_formula_sum 'K6 Na2 Mo2 C8 N8 O4'
_space_group_name_H-M_alt 'P 1'
_space_group_IT_number 1
_cell_length_a 12.485
_cell_length_b 7.770
_cell_length_c 7.966
_cell_angle_alpha 90.00
_cell_angle_beta 90.00
_cell_angle_gamma 90.00
loop_
_space_group_symop_operation_xyz
'x,y,z'
loop_
_atom_site_label
_atom_site_type_symbol
_atom_site_fract_x
_atom_site_fract_y
_atom_site_fract_z
K1 K 0.000 0.000 0.000
K2 K 0.250 0.249 0.250
K3 K 0.250 0.751 0.750
K4 K 0.500 0.000 0.500
K5 K 0.750 0.249 0.250
K6 K 0.750 0.751 0.750
Na1 Na 0.000 0.500 0.000
Na2 Na 0.500 0.500 0.500
Mo1 Mo 0.000 0.000 0.500
Mo2 Mo 0.500 0.000 0.000
C1 C 0.000 0.220 0.328
C2 C 0.000 0.780 0.672
C3 C 0.177 0.000 0.500
C4 C 0.323 0.000 0.000
C5 C 0.500 0.220 0.172
C6 C 0.500 0.780 0.828
C7 C 0.677 0.000 0.000
C8 C 0.823 0.000 0.500
N1 N 0.000 0.322 0.217
N2 N 0.000 0.678 0.783
N3 N 0.229 0.000 0.000
N4 N 0.271 0.000 0.500
N5 N 0.500 0.322 0.283
N6 N 0.500 0.678 0.717
N7 N 0.729 0.000 0.500
N8 N 0.771 0.000 0.000
O1 O 0.000 0.141 0.690
O2 O 0.000 0.859 0.310
O3 O 0.500 0.141 0.810
O4 O 0.500 0.859 0.190
```

Main lines, sorted by position (2θ from 10° to 90°):
hkl  2theta  intensity
0 1 0  11.39  100
2 0 0  14.19  28
0 1 1  15.93  31
1 1 1  17.45  44
0 1 2  25.13  23
4 0 0  28.60  39
0 2 2  32.19  49
4 2 2  43.58  34